Entry 1:
Starting from DFT lattice parameters and positions (PBE), the powder diffractogram of Li8Ca3Al was calculated for Cu Kα X-rays.
Kinematic intensities with the Lorentz-polarization factor, no thermal factor.

Crystal structure
```
data_Li8Ca3Al
_chemical_formula_sum 'Li24 Ca9 Al3'
_symmetry_space_group_name_H-M 'R 3 m'
_symmetry_Int_Tables_number 160
_symmetry_space_group_name_Hall 'R 3 -2"'
_cell_length_a 5.7547
_cell_length_b 5.7547
_cell_length_c 29.7762
_cell_angle_alpha 90.00
_cell_angle_beta 90.00
_cell_angle_gamma 120.00
loop_
_atom_site_label
_atom_site_type_symbol
_atom_site_fract_x
_atom_site_fract_y
_atom_site_fract_z
Li1 Li 0.0000 0.0000 0.0000
Li2 Li 0.0000 0.0000 0.4963
Li3 Li 0.0029 0.5015 0.7433
Li4 Li 0.0090 0.5045 0.2534
Ca1 Ca 0.0000 0.0000 0.1875
Ca2 Ca 0.0000 0.0000 0.3173
Ca3 Ca 0.0000 0.0000 0.7973
Al1 Al 0.0000 0.0000 0.6834
```

The 10 most intense peaks (2θ = 10–90°), in order of rising 2θ:
- 17.87°, d = 4.963 Å, I = 27.4, hkl 0 0 6
- 18.78°, d = 4.726 Å, I = 100.0, hkl 0 1 2
- 29.96°, d = 2.982 Å, I = 73.7, hkl 0 1 8
- 31.08°, d = 2.877 Å, I = 78.2, hkl 1 1 0
- 35.11°, d = 2.556 Å, I = 37.7, hkl 1 0 10
- 36.08°, d = 2.489 Å, I = 59.6, hkl 1 1 6
- 36.56°, d = 2.458 Å, I = 35.7, hkl 2 0 2
- 48.73°, d = 1.869 Å, I = 13.7, hkl 1 2 2
- 54.61°, d = 1.681 Å, I = 23.8, hkl 1 2 8
- 57.93°, d = 1.592 Å, I = 15.8, hkl 2 1 10

Entry 2:
Starting from DFT lattice parameters and positions (PBE), the powder diffractogram of Ac6TlCo2 was calculated for Cu Kα X-rays.
Kinematic intensities with the Lorentz-polarization factor, no thermal factor.

Crystal structure
```
data_Ac6TlCo2
_chemical_formula_sum 'Ac12 Tl2 Co4'
_symmetry_space_group_name_H-M 'C 1 2/m 1'
_symmetry_Int_Tables_number 12
_cell_length_a 13.021
_cell_length_b 4.220
_cell_length_c 12.530
_cell_angle_alpha 90.00
_cell_angle_beta 104.70
_cell_angle_gamma 90.00
loop_
_symmetry_equiv_pos_as_xyz
'x,y,z'
'-x,-y,-z'
'-x,y,-z'
'x,-y,z'
'x+1/2,y+1/2,z'
'-x+1/2,-y+1/2,-z'
'-x+1/2,y+1/2,-z'
'x+1/2,-y+1/2,z'
loop_
_atom_site_label
_atom_site_type_symbol
_atom_site_fract_x
_atom_site_fract_y
_atom_site_fract_z
Ac1 Ac 0.036 0.000 0.284
Ac2 Ac 0.163 0.500 0.577
Ac3 Ac 0.211 0.500 0.126
Tl1 Tl 0.000 0.000 0.000
Co1 Co 0.184 0.500 0.343
```

The 10 most intense peaks (2θ = 10–90°), in order of rising 2θ:
- 25.67°, d = 3.470 Å, I = 71.3, hkl 1 1 -2
- 28.42°, d = 3.141 Å, I = 29.1, hkl 4 0 -2
- 29.14°, d = 3.065 Å, I = 29.6, hkl 2 0 3
- 29.29°, d = 3.049 Å, I = 65.8, hkl 2 0 -4
- 30.02°, d = 2.976 Å, I = 100.0, hkl 3 1 0
- 38.70°, d = 2.327 Å, I = 29.4, hkl 1 1 4
- 42.86°, d = 2.110 Å, I = 28.4, hkl 0 2 0
- 45.93°, d = 1.976 Å, I = 43.0, hkl 5 1 -4
- 52.17°, d = 1.753 Å, I = 31.9, hkl 5 1 3
- 52.73°, d = 1.736 Å, I = 38.2, hkl 2 2 -4

Entry 3:
Starting from DFT lattice parameters and positions (PBE), the powder diffractogram of K2CdGaHg6 was calculated for Cu Kα X-rays.
Kinematic intensities with the Lorentz-polarization factor, no thermal factor.

Crystal structure
```
data_K2CdGaHg6
_chemical_formula_sum 'K2 Cd1 Ga1 Hg6'
_symmetry_space_group_name_H-M 'P -1'
_symmetry_Int_Tables_number 2
_cell_length_a 6.932
_cell_length_b 7.245
_cell_length_c 8.317
_cell_angle_alpha 68.25
_cell_angle_beta 65.54
_cell_angle_gamma 61.58
loop_
_symmetry_equiv_pos_as_xyz
'x,y,z'
'-x,-y,-z'
loop_
_atom_site_label
_atom_site_type_symbol
_atom_site_fract_x
_atom_site_fract_y
_atom_site_fract_z
K1 K 0.210 0.378 0.210
Cd1 Cd 0.000 0.000 0.000
Ga1 Ga 0.500 0.500 0.500
Hg1 Hg 0.147 0.854 0.347
Hg2 Hg 0.258 0.702 0.775
Hg3 Hg 0.346 0.147 0.654
```

The 10 most intense peaks (2θ = 10–90°), in order of rising 2θ:
- 11.98°, d = 7.390 Å, I = 29.6, hkl 0 0 1
- 16.39°, d = 5.407 Å, I = 71.2, hkl 1 0 1
- 25.22°, d = 3.531 Å, I = 25.4, hkl 0 1 2
- 28.44°, d = 3.138 Å, I = 25.9, hkl 2 1 0
- 28.63°, d = 3.118 Å, I = 46.5, hkl 0 2 1
- 29.50°, d = 3.027 Å, I = 27.0, hkl 2 2 1
- 30.69°, d = 2.913 Å, I = 28.4, hkl 0 1 -2
- 33.14°, d = 2.703 Å, I = 100.0, hkl 2 0 2
- 36.21°, d = 2.481 Å, I = 47.7, hkl 0 1 3
- 42.68°, d = 2.119 Å, I = 36.9, hkl 2 3 3